Starting from a cell relaxed with PBE, the X-ray powder pattern of LiLa8Cu3O16 was simulated for Cu Kα, 1.54184 Å.
Intensities are scaled so that the largest is 100.

Largest 6 diffraction maxima, low angle first, 2θ = 10–80°:
2θ/deg, I/Imax, index
24.46, 100, 1 -2 1
31.24, 95, 1 0 2
36.25, 97, 0 2 1
41.89, 43, 2 2 -1
48.05, 29, 1 0 -4
54.62, 23, 1 -4 0

abc: 7.0910 7.5723 8.4585
angles: 116.44 96.89 105.59
Space group P1 (No. 1)
Unique sites:
Li1 0.0000 0.0000 0.0000
La1 0.2740 0.0911 0.8197
La2 0.2765 0.3491 0.3173
La3 0.2757 0.5789 0.8257
La4 0.2774 0.8430 0.3147
La5 0.7218 0.1579 0.6855
La6 0.7215 0.4196 0.1753
La7 0.7225 0.6525 0.6826
La8 0.7228 0.9079 0.1808
Cu1 0.9996 0.5004 0.9997
Cu2 0.0004 0.7487 0.5007
Cu3 0.9964 0.2527 0.4969
O1 0.0033 0.3770 0.7489
O2 0.0039 0.1225 0.2524
O3 0.0062 0.7458 0.0000
O4 0.3616 0.9552 0.0919
O5 0.3673 0.2084 0.5846
O6 0.3682 0.4625 0.0818
O7 0.3701 0.7006 0.5888
O8 0.6278 0.5441 0.9105
O9 0.6286 0.3044 0.3974
O10 0.6331 0.7966 0.4025
O11 0.6341 0.0514 0.9008
O12 0.9927 0.2569 0.9980
O13 0.9950 0.8806 0.7459
O14 0.9964 0.4981 0.5001
O15 0.9963 0.6258 0.2494
O16 0.9958 0.9981 0.4999